Entry 1:
# Li4CaP2
Simulated XRD peak list, CuKα. Input: a DFT-relaxed cell (GGA-PBE, Alexandria).
Intensities are scaled so that the largest is 100.

Top 12 peaks for 10° ≤ 2θ ≤ 90°, sorted by position:
2θ = 16.78°, I = 60
2θ = 24.42°, I = 24
2θ = 27.22°, I = 66
2θ = 33.93°, I = 59
2θ = 34.37°, I = 100
2θ = 38.08°, I = 21
2θ = 42.25°, I = 38
2θ = 43.34°, I = 27
2θ = 44.03°, I = 43
2θ = 56.15°, I = 24
2θ = 66.44°, I = 19
2θ = 71.67°, I = 22

Crystal structure
a b c (Å): 7.4729 7.4729 4.1754
angles (deg): 90.00 90.00 90.00
Atoms (fractional coordinates):
Li 0.0992 0.3350 0.0000
Li 0.1650 0.5992 0.5000
Li 0.3350 0.0992 0.0000
Li 0.4008 0.8350 0.5000
Li 0.5992 0.1650 0.5000
Li 0.6650 0.9008 0.0000
Li 0.8350 0.4008 0.5000
Li 0.9008 0.6650 0.0000
Ca 0.0000 0.0000 0.5000
Ca 0.5000 0.5000 0.0000
P 0.2164 0.7836 0.0000
P 0.2836 0.2836 0.5000
P 0.7164 0.7164 0.5000
P 0.7836 0.2164 0.0000



Entry 2:
# Li3CaP2
Simulated XRD peak list, CuKα. Input: a DFT-relaxed cell (GGA-PBE, Alexandria).
Intensities are scaled so that the largest is 100.

Top 12 peaks for 10° ≤ 2θ ≤ 90°, sorted by position:
2θ = 13.42°, I = 100
2θ = 23.29°, I = 45
2θ = 27.04°, I = 28
2θ = 29.79°, I = 96
2θ = 32.67°, I = 54
2θ = 36.98°, I = 72
2θ = 38.16°, I = 62
2θ = 41.40°, I = 20
2θ = 43.85°, I = 34
2θ = 44.02°, I = 28
2θ = 50.24°, I = 25
2θ = 72.38°, I = 20

Crystal structure
a b c (Å): 7.8522 7.8522 7.8522
angles (deg): 149.51 121.80 67.13
Atoms (fractional coordinates):
Li 0.0230 0.3367 0.6863
Li 0.1625 0.0000 0.1625
Li 0.3496 0.6633 0.6863
Li 0.6504 0.3367 0.3137
Li 0.8375 0.0000 0.8375
Li 0.9770 0.6633 0.3137
Ca 0.3617 0.8617 0.5000
Ca 0.6383 0.1383 0.5000
P 0.1916 0.1916 0.0000
P 0.3527 0.5000 0.8527
P 0.6473 0.5000 0.1473
P 0.8084 0.8084 0.0000



Entry 3:
# LiCa2PaS5
Simulated XRD peak list, CuKα. Input: a DFT-relaxed cell (GGA-PBE, Alexandria).
Intensities are scaled so that the largest is 100.

Top 12 peaks for 10° ≤ 2θ ≤ 90°, sorted by position:
2θ = 10.94°, I = 50
2θ = 12.45°, I = 100
2θ = 16.61°, I = 94
2θ = 21.99°, I = 36
2θ = 23.43°, I = 53
2θ = 28.22°, I = 25
2θ = 29.49°, I = 94
2θ = 33.25°, I = 21
2θ = 35.63°, I = 25
2θ = 39.07°, I = 41
2θ = 40.42°, I = 44
2θ = 48.15°, I = 23

Crystal structure
a b c (Å): 8.3355 8.3355 14.2140
angles (deg): 90.00 90.00 151.79
Atoms (fractional coordinates):
Li 0.1035 0.8965 0.5000
Li 0.8965 0.1035 0.0000
Ca 0.4344 0.5656 0.4771
Ca 0.4493 0.5507 0.7446
Ca 0.5507 0.4493 0.2446
Ca 0.5656 0.4344 0.9771
Pa 0.2547 0.7453 0.1227
Pa 0.7453 0.2547 0.6227
S 0.0050 0.9950 0.3697
S 0.0924 0.9076 0.1137
S 0.2554 0.7446 0.4974
S 0.2602 0.7398 0.7422
S 0.4137 0.5863 0.0998
S 0.5863 0.4137 0.5998
S 0.7398 0.2602 0.2422
S 0.7446 0.2554 0.9974
S 0.9076 0.0924 0.6137
S 0.9950 0.0050 0.8697



Entry 4:
# Li2Ca3Pb5
Simulated XRD peak list, CuKα. Input: a DFT-relaxed cell (GGA-PBE, Alexandria).
Intensities are scaled so that the largest is 100.

Top 12 peaks for 10° ≤ 2θ ≤ 90°, sorted by position:
2θ = 19.65°, I = 100
2θ = 25.47°, I = 37
2θ = 26.73°, I = 42
2θ = 29.12°, I = 35
2θ = 32.38°, I = 93
2θ = 33.41°, I = 53
2θ = 35.38°, I = 51
2θ = 39.06°, I = 41
2θ = 39.92°, I = 36
2θ = 53.01°, I = 33
2θ = 62.90°, I = 37
2θ = 73.69°, I = 31

Crystal structure
a b c (Å): 11.0570 11.0570 4.5169
angles (deg): 90.00 90.00 90.00
Atoms (fractional coordinates):
Li 0.1209 0.3791 0.0000
Li 0.3791 0.8791 0.0000
Li 0.6209 0.1209 0.0000
Li 0.8791 0.6209 0.0000
Ca 0.0000 0.0000 0.0000
Ca 0.1740 0.6740 0.0000
Ca 0.3260 0.1740 0.0000
Ca 0.5000 0.5000 0.0000
Ca 0.6740 0.8260 0.0000
Ca 0.8260 0.3260 0.0000
Pb 0.0000 0.5000 0.5000
Pb 0.0744 0.2103 0.5000
Pb 0.2103 0.9256 0.5000
Pb 0.2897 0.4256 0.5000
Pb 0.4256 0.7103 0.5000
Pb 0.5000 0.0000 0.5000
Pb 0.5744 0.2897 0.5000
Pb 0.7103 0.5744 0.5000
Pb 0.7897 0.0744 0.5000
Pb 0.9256 0.7897 0.5000



Entry 5:
# Li2Ca4Pb5
Simulated XRD peak list, CuKα. Input: a DFT-relaxed cell (GGA-PBE, Alexandria).
Intensities are scaled so that the largest is 100.

Top 12 peaks for 10° ≤ 2θ ≤ 90°, sorted by position:
2θ = 19.65°, I = 100
2θ = 22.97°, I = 32
2θ = 24.06°, I = 47
2θ = 24.47°, I = 30
2θ = 28.40°, I = 35
2θ = 30.11°, I = 44
2θ = 31.35°, I = 56
2θ = 31.96°, I = 32
2θ = 32.77°, I = 45
2θ = 38.26°, I = 38
2θ = 39.54°, I = 35
2θ = 40.71°, I = 53

Crystal structure
a b c (Å): 11.5855 11.5855 11.5855
angles (deg): 128.05 62.01 148.52
Atoms (fractional coordinates):
Li 0.0516 0.2500 0.8016
Li 0.4484 0.2500 0.1984
Li 0.5516 0.7500 0.8016
Li 0.9484 0.7500 0.1984
Ca 0.0607 0.2456 0.3064
Ca 0.1392 0.6080 0.7471
Ca 0.3608 0.1080 0.4688
Ca 0.4393 0.7456 0.1849
Ca 0.5607 0.2544 0.8151
Ca 0.6392 0.8920 0.5312
Ca 0.8608 0.3920 0.2529
Ca 0.9393 0.7544 0.6936
Pb 0.0770 0.9258 0.0028
Pb 0.2242 0.2918 0.5160
Pb 0.2500 0.7500 0.5000
Pb 0.2758 0.7918 0.0676
Pb 0.4230 0.4258 0.8487
Pb 0.5770 0.5742 0.1513
Pb 0.7242 0.2082 0.9324
Pb 0.7500 0.2500 0.5000
Pb 0.7758 0.7082 0.4840
Pb 0.9230 0.0742 0.9972



Entry 6:
# LiCa2Pb
Simulated XRD peak list, CuKα. Input: a DFT-relaxed cell (GGA-PBE, Alexandria).
Intensities are scaled so that the largest is 100.

Top 12 peaks for 10° ≤ 2θ ≤ 90°, sorted by position:
2θ = 11.34°, I = 100
2θ = 22.75°, I = 16
2θ = 25.27°, I = 32
2θ = 25.45°, I = 32
2θ = 32.22°, I = 79
2θ = 32.39°, I = 39
2θ = 34.24°, I = 31
2θ = 41.57°, I = 10
2θ = 47.90°, I = 18
2θ = 57.35°, I = 15
2θ = 57.62°, I = 15
2θ = 57.73°, I = 15

Crystal structure
a b c (Å): 3.9153 3.9494 7.8033
angles (deg): 90.00 90.00 90.00
Atoms (fractional coordinates):
Li 0.0000 0.0000 0.0000
Ca 0.5000 0.5000 0.2536
Ca 0.5000 0.5000 0.7464
Pb 0.0000 0.0000 0.5000



Entry 7:
# LiCaPb4
Simulated XRD peak list, CuKα. Input: a DFT-relaxed cell (GGA-PBE, Alexandria).
Intensities are scaled so that the largest is 100.

Top 12 peaks for 10° ≤ 2θ ≤ 90°, sorted by position:
2θ = 18.90°, I = 77
2θ = 19.98°, I = 33
2θ = 24.63°, I = 35
2θ = 30.48°, I = 67
2θ = 31.94°, I = 89
2θ = 32.37°, I = 62
2θ = 34.34°, I = 100
2θ = 37.15°, I = 22
2θ = 41.06°, I = 51
2θ = 45.05°, I = 44
2θ = 58.23°, I = 22
2θ = 59.00°, I = 22

Crystal structure
a b c (Å): 3.6287 5.5318 8.9226
angles (deg): 90.00 95.03 90.00
Atoms (fractional coordinates):
Li 0.0000 0.0000 0.0000
Ca 0.0000 0.5000 0.5000
Pb 0.2992 0.5000 0.1526
Pb 0.4491 0.0000 0.6802
Pb 0.5509 0.0000 0.3198
Pb 0.7008 0.5000 0.8474



Entry 8:
# Li2Ca3Sb4Pb2
Simulated XRD peak list, CuKα. Input: a DFT-relaxed cell (GGA-PBE, Alexandria).
Intensities are scaled so that the largest is 100.

Top 12 peaks for 10° ≤ 2θ ≤ 90°, sorted by position:
2θ = 20.28°, I = 20
2θ = 22.11°, I = 27
2θ = 22.70°, I = 26
2θ = 26.93°, I = 100
2θ = 30.18°, I = 83
2θ = 38.80°, I = 67
2θ = 42.56°, I = 36
2θ = 44.17°, I = 16
2θ = 47.86°, I = 21
2θ = 49.93°, I = 20
2θ = 63.24°, I = 19
2θ = 64.97°, I = 18

Crystal structure
a b c (Å): 4.6418 4.6418 17.5120
angles (deg): 90.00 90.00 120.00
Atoms (fractional coordinates):
Li 0.3333 0.6667 0.1154
Li 0.6667 0.3333 0.8846
Ca 0.0000 0.0000 0.0000
Ca 0.0000 0.0000 0.2253
Ca 0.0000 0.0000 0.7747
Sb 0.3333 0.6667 0.3283
Sb 0.3333 0.6667 0.8882
Sb 0.6667 0.3333 0.1118
Sb 0.6667 0.3333 0.6717
Pb 0.3333 0.6667 0.5835
Pb 0.6667 0.3333 0.4165